# 1
This entry pairs a crystal structure of Mg2V3NiS8 with its calculated powder X-ray diffraction pattern. Radiation: Cu Kα. Structure: DFT lattice parameters and positions (GGA-PBE).
Lines closer than 0.1° are merged.

Top 8 peaks for 2θ from 10° to 90°, in order of rising 2θ:
d (Å)  I (rel.)
5.835  100.0
3.113  28.4
3.065  47.6
2.548  97.8
2.539  48.4
1.820  74.0
1.783  43.5
1.775  21.5

```
data_Mg2V3NiS8
_chemical_formula_sum 'Mg2 V3 Ni1 S8'
_cell_length_a 7.1014
_cell_length_b 7.1265
_cell_length_c 7.2745
_cell_angle_alpha 90.25
_cell_angle_beta 119.12
_cell_angle_gamma 119.80
_space_group_name_H-M_alt 'P -1'
_space_group_IT_number 2
loop_
_space_group_symop_operation_xyz
'x,y,z'
'-x,-y,-z'
loop_
_atom_site_label
_atom_site_type_symbol
_atom_site_fract_x
_atom_site_fract_y
_atom_site_fract_z
_atom_site_occupancy
Mg1 Mg 0.2486 0.1241 0.3734 1
V1 V 0.0000 0.5000 0.0000 1
V2 V 0.5000 0.0000 0.0000 1
V3 V 0.5000 0.5000 0.0000 1
Ni1 Ni 0.0000 0.5000 0.5000 1
S1 S 0.0232 0.7311 0.7549 1
S2 S 0.0236 0.2913 0.7551 1
S3 S 0.4639 0.7315 0.7552 1
S4 S 0.4786 0.7400 0.2190 1
```

=====

# 2
This entry pairs a crystal structure of NdCd2 with its calculated powder X-ray diffraction pattern. Radiation: Cu Kα. Structure: DFT lattice parameters and positions (GGA-PBE).
Lines closer than 0.1° are merged.

Top 8 peaks for 2θ from 10° to 90°, in order of rising 2θ:
d (Å)  I (rel.)
2.723  100.0
2.557  87.4
1.864  32.4
1.506  31.9
1.476  15.3
1.431  27.5
1.157  13.5
1.122  12.8

```
data_NdCd2
_chemical_formula_sum 'Nd1 Cd2'
_cell_length_a 5.1131
_cell_length_b 5.1131
_cell_length_c 3.4523
_cell_angle_alpha 90.00
_cell_angle_beta 90.00
_cell_angle_gamma 120.00
_space_group_name_H-M_alt 'P 6/m m m'
_space_group_IT_number 191
_space_group_name_Hall '-P 6 2'
loop_
_atom_site_label
_atom_site_type_symbol
_atom_site_fract_x
_atom_site_fract_y
_atom_site_fract_z
_atom_site_occupancy
Nd1 Nd 0.0000 0.0000 0.0000 1
Cd1 Cd 0.3333 0.6667 0.5000 1
```